Simulated powder X-ray diffraction pattern
Compound: MgMnP2O7
Radiation: CuKα
Structure: a cell relaxed with PBE+U
Peak positions follow from Bragg's law for the DFT cell and can differ from measured ones.

Structural model:
```
data_MgMnP2O7
_symmetry_space_group_name_H-M 'P 1'
_symmetry_Int_Tables_number 1
_cell_length_a 5.115
_cell_length_b 5.492
_cell_length_c 5.903
_cell_angle_alpha 75.16
_cell_angle_beta 71.26
_cell_angle_gamma 84.89
loop_
_symmetry_equiv_pos_as_xyz
'x,y,z'
loop_
_atom_site_label
_atom_site_type_symbol
_atom_site_fract_x
_atom_site_fract_y
_atom_site_fract_z
Mg1 Mg 0.000 0.000 0.000
Mn1 Mn 0.817 0.894 0.585
P1 P 0.312 0.511 0.784
P2 P 0.462 0.116 0.139
O1 O 0.103 0.730 0.824
O2 O 0.181 0.294 0.746
O3 O 0.190 0.967 0.264
O4 O 0.374 0.406 0.054
O5 O 0.590 0.597 0.598
O6 O 0.636 0.023 0.909
O7 O 0.657 0.106 0.290
```

Principal peaks in the range 2θ = 15–90°, in order of rising 2θ:
| Position (°2θ) | I_rel | index |
| --- | --- | --- |
| 16.3 | 32 | 0 0 1 |
| 16.7 | 56 | 0 1 0 |
| 20.4 | 100 | 0 1 1 |
| 24.8 | 64 | 1 1 0 |
| 25.0 | 26 | 1 -1 0 |
| 28.2 | 31 | 1 0 -1 |
| 29.0 | 37 | 1 -1 1 |
| 30.9 | 20 | -1 1 1 |
| 32.4 | 25 | 1 0 2 |
| 50.2 | 22 | -1 2 2 |

=====

Simulated powder X-ray diffraction pattern
Compound: Sr2ZnMoO6
Radiation: CuKα
Structure: a cell relaxed with PBE+U
Peak positions follow from Bragg's law for the DFT cell and can differ from measured ones.

Structural model:
```
data_Sr2ZnMoO6
_symmetry_space_group_name_H-M 'F m -3 m'
_symmetry_Int_Tables_number 225
_symmetry_space_group_name_Hall '-F 4 2 3'
_cell_length_a 8.046
_cell_length_b 8.046
_cell_length_c 8.046
_cell_angle_alpha 90.00
_cell_angle_beta 90.00
_cell_angle_gamma 90.00
loop_
_atom_site_label
_atom_site_type_symbol
_atom_site_fract_x
_atom_site_fract_y
_atom_site_fract_z
Sr1 Sr 0.250 0.250 0.250
Zn1 Zn 0.000 0.000 0.000
Mo1 Mo 0.000 0.000 0.500
O1 O 0.000 0.000 0.259
```

Principal peaks in the range 2θ = 15–90°, in order of rising 2θ:
| Position (°2θ) | I_rel | index |
| --- | --- | --- |
| 19.1 | 3 | 1 1 1 |
| 22.1 | 1 | 2 0 0 |
| 31.4 | 100 | 2 2 0 |
| 38.8 | 4 | 2 2 2 |
| 45.1 | 35 | 4 0 0 |
| 56.0 | 39 | 4 2 2 |
| 65.6 | 21 | 4 4 0 |
| 74.6 | 17 | 6 2 0 |
| 78.9 | 1 | 6 2 2 |
| 83.2 | 7 | 4 4 4 |

=====

Simulated powder X-ray diffraction pattern
Compound: Li2CoNi3O8
Radiation: CuKα
Structure: a cell relaxed with PBE+U
Peak positions follow from Bragg's law for the DFT cell and can differ from measured ones.

Structural model:
```
data_Li2CoNi3O8
_symmetry_space_group_name_H-M 'P 43 21 2'
_symmetry_Int_Tables_number 96
_cell_length_a 8.046
_cell_length_b 8.046
_cell_length_c 8.164
_cell_angle_alpha 90.00
_cell_angle_beta 90.00
_cell_angle_gamma 90.00
loop_
_symmetry_equiv_pos_as_xyz
'x,y,z'
'-y+1/2,x+1/2,z+3/4'
'-x,-y,z+1/2'
'y+1/2,-x+1/2,z+1/4'
'x+1/2,-y+1/2,-z+1/4'
'-y,-x,-z+1/2'
'-x+1/2,y+1/2,-z+3/4'
'y,x,-z'
loop_
_atom_site_label
_atom_site_type_symbol
_atom_site_fract_x
_atom_site_fract_y
_atom_site_fract_z
Li1 Li 0.001 0.248 0.374
Co1 Co 0.127 0.127 0.000
Ni1 Ni 0.122 0.623 0.503
Ni2 Ni 0.126 0.874 0.250
O1 O 0.107 0.856 0.499
O2 O 0.110 0.144 0.766
O3 O 0.110 0.366 0.985
O4 O 0.111 0.637 0.271
```

Principal peaks in the range 2θ = 15–90°, in order of rising 2θ:
| Position (°2θ) | I_rel | index |
| --- | --- | --- |
| 19.0 | 100 | 1 1 1 |
| 36.6 | 16 | 1 1 3 |
| 37.0 | 30 | 3 1 1 |
| 38.6 | 15 | 2 2 2 |
| 44.4 | 17 | 0 0 4 |
| 45.1 | 33 | 4 0 0 |
| 59.7 | 12 | 5 1 1 |
| 65.1 | 20 | 4 0 4 |
| 65.6 | 10 | 4 4 0 |
| 82.7 | 8 | 4 4 4 |